This entry pairs a crystal structure of Hf3Ni4Bi4 with its simulated X-ray diffraction stick pattern. Radiation: Cu Kα. Structure: a crystal structure in OQMD, relaxed with PBE.
No peak broadening, texture or thermal motion is included.

Structural model:
abc: 7.267 4.179 7.477
angles: 90.00 93.93 90.00
Space group Pm (No. 6)
Unique sites:
Hf (0.000, 0.000, 0.000) x1
Hf (0.040, 0.500, 0.411) x1
Hf (0.560, 0.000, 0.964) x1
Ni (0.109, 0.500, 0.776) x1
Ni (0.242, 0.000, 0.286) x1
Ni (0.782, 0.500, 0.116) x1
Ni (0.924, 0.000, 0.644) x1
Bi (0.293, 0.000, 0.635) x1
Bi (0.306, 0.500, 0.098) x1
Bi (0.716, 0.000, 0.334) x1
Bi (0.735, 0.500, 0.749) x1

Top 10 peaks for 15 to 90 degrees two-theta, sorted by position:
(1 0 -2), d = 3.413 Å, 26.1 deg, intensity 18.6; (1 1 1), d = 3.214 Å, 27.8 deg, intensity 52.8; (1 1 -2), d = 2.643 Å, 33.9 deg, intensity 27.8; (2 1 -1), d = 2.615 Å, 34.3 deg, intensity 100.0; (2 0 2), d = 2.515 Å, 35.7 deg, intensity 40.9; (0 0 3), d = 2.486 Å, 36.1 deg, intensity 16.0; (0 1 3), d = 2.137 Å, 42.3 deg, intensity 58.5; (3 1 0), d = 2.093 Å, 43.2 deg, intensity 15.9; (0 2 0), d = 2.089 Å, 43.3 deg, intensity 40.2; (2 2 2), d = 1.607 Å, 57.3 deg, intensity 21.1



This entry pairs a crystal structure of HgPSeS2 with its simulated X-ray diffraction stick pattern. Radiation: Cu Kα. Structure: a crystal structure in OQMD, relaxed with PBE.
No peak broadening, texture or thermal motion is included.

Structural model:
abc: 6.414 6.477 7.651
angles: 67.98 83.75 60.41
Space group P-1 (No. 2)
Unique sites:
Hg (0.127, 0.122, 0.160) x2
P (0.475, 0.465, 0.158) x2
Se (0.245, 0.932, 0.688) x2
S (0.138, 0.507, 0.203) x2
S (0.471, 0.283, 0.780) x2

Top 10 peaks for 15 to 90 degrees two-theta, sorted by position:
(0 1 0), d = 5.231 Å, 17.0 deg, intensity 100.0; (0 1 2), d = 3.612 Å, 24.6 deg, intensity 63.7; (0 0 2), d = 3.531 Å, 25.2 deg, intensity 64.2; (1 1 2), d = 3.435 Å, 25.9 deg, intensity 72.4; (1 2 1), d = 3.234 Å, 27.6 deg, intensity 47.7; (2 1 0), d = 3.185 Å, 28.0 deg, intensity 54.7; (1 -1 0), d = 3.117 Å, 28.6 deg, intensity 63.4; (1 0 2), d = 2.859 Å, 31.3 deg, intensity 45.0; (2 2 0), d = 2.669 Å, 33.6 deg, intensity 86.6; (1 1 -2), d = 2.617 Å, 34.3 deg, intensity 50.5



This entry pairs a crystal structure of TlHg3GeS4 with its simulated X-ray diffraction stick pattern. Radiation: Cu Kα. Structure: a crystal structure in OQMD, relaxed with PBE.
No peak broadening, texture or thermal motion is included.

Structural model:
abc: 6.874 7.051 10.680
angles: 90.00 95.16 90.00
Space group P2_1/m (No. 11)
Unique sites:
Tl (0.142, 0.250, 0.132) x2
Hg (0.251, 0.554, 0.524) x4
Hg (0.458, 0.250, 0.824) x2
Ge (0.033, 0.750, 0.280) x2
S (0.187, 0.001, 0.768) x4
S (0.201, 0.750, 0.100) x2
S (0.319, 0.250, 0.412) x2

Top 10 peaks for 15 to 90 degrees two-theta, sorted by position:
(1 1 1), d = 4.354 Å, 20.4 deg, intensity 60.0; (1 1 -2), d = 3.730 Å, 23.9 deg, intensity 61.5; (0 0 3), d = 3.546 Å, 25.1 deg, intensity 62.8; (2 0 -1), d = 3.347 Å, 26.6 deg, intensity 100.0; (0 2 2), d = 2.939 Å, 30.4 deg, intensity 26.9; (2 0 2), d = 2.767 Å, 32.4 deg, intensity 46.0; (2 2 0), d = 2.456 Å, 36.6 deg, intensity 24.9; (2 2 1), d = 2.360 Å, 38.1 deg, intensity 30.2; (1 1 4), d = 2.277 Å, 39.6 deg, intensity 24.0; (1 3 2), d = 2.030 Å, 44.6 deg, intensity 22.8



This entry pairs a crystal structure of Ba2Cd17 with its simulated X-ray diffraction stick pattern. Radiation: Cu Kα. Structure: a crystal structure in OQMD, relaxed with PBE.
No peak broadening, texture or thermal motion is included.

Structural model:
abc: 10.3498 10.3498 15.1635
angles: 90.00 90.00 120.00
Space group R-3m (No. 166, hexagonal axes)
Unique sites:
Ba (0.0000, 0.0000, 0.1632) x6
Cd (0.0000, 0.0000, 0.4009) x6
Cd (0.0000, 0.2950, 0.5000) x18
Cd (0.0000, 0.5000, 0.0000) x9
Cd (0.0088, 0.5044, 0.6508) x18

Top 10 peaks for 15 to 90 degrees two-theta, sorted by position:
(3 0 0), d = 2.988 Å, 29.9 deg, intensity 32.1; (0 2 4), d = 2.894 Å, 30.9 deg, intensity 27.4; (2 2 0), d = 2.587 Å, 34.7 deg, intensity 63.0; (0 3 3), d = 2.572 Å, 34.9 deg, intensity 100.0; (0 0 6), d = 2.527 Å, 35.5 deg, intensity 47.7; (2 0 5), d = 2.512 Å, 35.7 deg, intensity 25.7; (2 2 3), d = 2.303 Å, 39.1 deg, intensity 70.9; (2 2 6), d = 1.808 Å, 50.5 deg, intensity 18.9; (6 0 0), d = 1.494 Å, 62.1 deg, intensity 23.8; (0 3 9), d = 1.467 Å, 63.4 deg, intensity 27.0



This entry pairs a crystal structure of K2NaZrCl6 with its simulated X-ray diffraction stick pattern. Radiation: Cu Kα. Structure: a crystal structure in OQMD, relaxed with PBE.
No peak broadening, texture or thermal motion is included.

Structural model:
abc: 7.239 7.365 12.560
angles: 90.00 124.92 90.00
Space group P2_1/c (No. 14)
Unique sites:
K (0.228, 0.076, 0.246) x4
Na (0.500, 0.000, 0.000) x2
Zr (0.000, 0.000, 0.500) x2
Cl (0.141, 0.206, 0.958) x4
Cl (0.246, 0.684, 0.952) x4
Cl (0.329, 0.006, 0.740) x4

Top 10 peaks for 15 to 90 degrees two-theta, sorted by position:
(1 1 -1), d = 5.158 Å, 17.2 deg, intensity 56.0; (1 1 1), d = 3.646 Å, 24.4 deg, intensity 52.0; (1 2 -2), d = 3.125 Å, 28.6 deg, intensity 20.7; (1 0 2), d = 3.108 Å, 28.7 deg, intensity 30.7; (2 1 -3), d = 3.094 Å, 28.9 deg, intensity 31.6; (0 0 4), d = 2.579 Å, 34.8 deg, intensity 100.0; (1 3 -1), d = 2.325 Å, 38.7 deg, intensity 24.0; (3 1 -1), d = 2.100 Å, 43.1 deg, intensity 26.5; (3 1 -5), d = 2.091 Å, 43.3 deg, intensity 29.1; (1 2 -6), d = 1.743 Å, 52.5 deg, intensity 17.1



This entry pairs a crystal structure of Ho3FeCo8 with its simulated X-ray diffraction stick pattern. Radiation: Cu Kα. Structure: a crystal structure in OQMD, relaxed with PBE.
No peak broadening, texture or thermal motion is included.

Structural model:
abc: 4.9926 4.9926 23.8860
angles: 90.00 90.00 120.00
Space group R-3m (No. 166, hexagonal axes)
Unique sites:
Ho (0.0000, 0.0000, 0.0000) x3
Ho (0.0000, 0.0000, 0.1395) x6
Fe (0.0000, 0.0000, 0.5000) x3
Co (0.0000, 0.0000, 0.3338) x6
Co (0.0020, 0.5010, 0.9181) x18

Top 10 peaks for 15 to 90 degrees two-theta, sorted by position:
(1 0 1), d = 4.255 Å, 20.9 deg, intensity 14.7; (1 0 7), d = 2.679 Å, 33.5 deg, intensity 53.8; (1 1 0), d = 2.496 Å, 36.0 deg, intensity 59.8; (0 1 8), d = 2.457 Å, 36.6 deg, intensity 43.4; (0 2 1), d = 2.153 Å, 42.0 deg, intensity 42.7; (1 1 6), d = 2.115 Å, 42.8 deg, intensity 100.0; (2 1 7), d = 1.474 Å, 63.1 deg, intensity 17.8; (1 2 8), d = 1.434 Å, 65.1 deg, intensity 15.4; (3 0 6), d = 1.355 Å, 69.3 deg, intensity 22.5; (2 2 0), d = 1.248 Å, 76.3 deg, intensity 22.5



This entry pairs a crystal structure of SrCu8As4 with its simulated X-ray diffraction stick pattern. Radiation: Cu Kα. Structure: a crystal structure in OQMD, relaxed with PBE.
No peak broadening, texture or thermal motion is included.

Structural model:
abc: 10.465 10.465 3.904
angles: 90.00 90.00 90.00
Space group I4/m (No. 87)
Unique sites:
Sr (0.000, 0.000, 0.000) x2
Cu (0.020, 0.374, 0.000) x8
Cu (0.172, 0.286, 0.500) x8
As (0.068, 0.750, 0.500) x8

Top 10 peaks for 15 to 90 degrees two-theta, sorted by position:
(3 1 0), d = 3.309 Å, 26.9 deg, intensity 24.7; (2 1 1), d = 2.998 Å, 29.8 deg, intensity 28.5; (3 0 1), d = 2.601 Å, 34.5 deg, intensity 33.8; (4 1 1), d = 2.128 Å, 42.5 deg, intensity 100.0; (0 0 2), d = 1.952 Å, 46.5 deg, intensity 30.4; (5 0 1), d = 1.845 Å, 49.4 deg, intensity 33.9; (3 5 0), d = 1.795 Å, 50.9 deg, intensity 40.9; (3 5 2), d = 1.321 Å, 71.4 deg, intensity 28.0; (8 2 0), d = 1.269 Å, 74.8 deg, intensity 12.4; (4 1 3), d = 1.158 Å, 83.5 deg, intensity 12.5



This entry pairs a crystal structure of LiZrIn2Cu4 with its simulated X-ray diffraction stick pattern. Radiation: Cu Kα. Structure: a crystal structure in OQMD, relaxed with PBE.
No peak broadening, texture or thermal motion is included.

Structural model:
abc: 4.461 4.461 6.355
angles: 90.00 90.00 90.00
Space group P4/mmm (No. 123)
Unique sites:
Li (0.000, 0.000, 0.000) x1
Zr (0.500, 0.500, 0.500) x1
In (0.000, 0.000, 0.500) x1
In (0.500, 0.500, 0.000) x1
Cu (0.000, 0.500, 0.238) x4

Top 10 peaks for 15 to 90 degrees two-theta, sorted by position:
(1 0 0), d = 4.461 Å, 19.9 deg, intensity 6.7; (1 0 1), d = 3.651 Å, 24.4 deg, intensity 18.7; (1 1 1), d = 2.826 Å, 31.7 deg, intensity 6.3; (1 1 2), d = 2.239 Å, 40.3 deg, intensity 100.0; (2 0 0), d = 2.231 Å, 40.4 deg, intensity 50.0; (0 0 4), d = 1.589 Å, 58.1 deg, intensity 7.9; (2 2 0), d = 1.577 Å, 58.5 deg, intensity 16.0; (2 0 4), d = 1.294 Å, 73.1 deg, intensity 15.2; (3 1 2), d = 1.289 Å, 73.4 deg, intensity 31.0; (2 2 4), d = 1.119 Å, 87.1 deg, intensity 9.6



This entry pairs a crystal structure of Dy2P5Ir3 with its simulated X-ray diffraction stick pattern. Radiation: Cu Kα. Structure: a crystal structure in OQMD, relaxed with PBE.
No peak broadening, texture or thermal motion is included.

Structural model:
abc: 9.656 10.847 6.311
angles: 90.00 90.00 90.00
Space group Ibam (No. 72)
Unique sites:
Dy (0.216, 0.134, 0.000) x8
P (0.000, 0.000, 0.250) x4
P (0.000, 0.276, 0.250) x8
P (0.153, 0.395, 0.000) x8
Ir (0.000, 0.500, 0.250) x4
Ir (0.106, 0.142, 0.500) x8

Top 10 peaks for 15 to 90 degrees two-theta, sorted by position:
(1 3 0), d = 3.386 Å, 26.3 deg, intensity 54.7; (0 0 2), d = 3.155 Å, 28.3 deg, intensity 28.0; (3 1 0), d = 3.086 Å, 28.9 deg, intensity 27.9; (1 1 2), d = 2.891 Å, 30.9 deg, intensity 53.7; (2 0 2), d = 2.641 Å, 33.9 deg, intensity 39.2; (3 2 1), d = 2.535 Å, 35.4 deg, intensity 100.0; (2 4 0), d = 2.364 Å, 38.1 deg, intensity 26.9; (0 4 2), d = 2.057 Å, 44.0 deg, intensity 70.9; (3 3 2), d = 1.913 Å, 47.5 deg, intensity 27.7; (3 2 3), d = 1.675 Å, 54.8 deg, intensity 28.9



This entry pairs a crystal structure of Rb2Nd4Cu4S9 with its simulated X-ray diffraction stick pattern. Radiation: Cu Kα. Structure: a crystal structure in OQMD, relaxed with PBE.
No peak broadening, texture or thermal motion is included.

Structural model:
abc: 14.138 4.056 16.439
angles: 90.00 109.20 90.00
Space group C2/m (No. 12)
Unique sites:
Rb (0.027, 0.000, 0.269) x4
Nd (0.155, 0.500, 0.554) x4
Nd (0.231, 0.000, 0.103) x4
Cu (0.070, 0.500, 0.961) x4
Cu (0.245, 0.000, 0.726) x4
S (0.000, 0.000, 0.500) x2
S (0.105, 0.500, 0.124) x4
S (0.134, 0.000, 0.925) x4
S (0.158, 0.500, 0.723) x4
S (0.200, 0.500, 0.395) x4

Top 10 peaks for 15 to 90 degrees two-theta, sorted by position:
(2 0 -4), d = 3.970 Å, 22.4 deg, intensity 61.2; (4 0 -2), d = 3.513 Å, 25.4 deg, intensity 100.0; (1 1 2), d = 3.346 Å, 26.6 deg, intensity 86.4; (1 1 -3), d = 3.257 Å, 27.4 deg, intensity 83.7; (3 1 -1), d = 3.074 Å, 29.0 deg, intensity 66.7; (3 1 -2), d = 3.031 Å, 29.5 deg, intensity 63.7; (3 1 1), d = 2.829 Å, 31.6 deg, intensity 91.3; (5 1 -2), d = 2.319 Å, 38.8 deg, intensity 65.6; (6 0 1), d = 2.107 Å, 42.9 deg, intensity 75.7; (0 2 0), d = 2.028 Å, 44.7 deg, intensity 83.3



This entry pairs a crystal structure of PrTm2Mg4Tl2 with its simulated X-ray diffraction stick pattern. Radiation: Cu Kα. Structure: a crystal structure in OQMD, relaxed with PBE.
No peak broadening, texture or thermal motion is included.

Structural model:
abc: 4.689 13.316 7.499
angles: 90.00 90.00 90.00
Space group Amm2 (No. 38)
Unique sites:
Pr (0.000, 0.000, 0.000) x2
Tm (0.000, 0.219, 0.648) x4
Mg (0.000, 0.000, 0.444) x2
Mg (0.500, 0.000, 0.677) x2
Mg (0.500, 0.120, 0.313) x4
Tl (0.500, 0.171, 0.929) x4

Top 10 peaks for 15 to 90 degrees two-theta, sorted by position:
(0 3 1), d = 3.820 Å, 23.3 deg, intensity 25.9; (1 3 1), d = 2.962 Å, 30.2 deg, intensity 100.0; (1 0 2), d = 2.928 Å, 30.5 deg, intensity 58.6; (1 4 0), d = 2.714 Å, 33.0 deg, intensity 39.7; (1 2 2), d = 2.681 Å, 33.4 deg, intensity 92.0; (2 0 0), d = 2.345 Å, 38.4 deg, intensity 36.6; (2 2 0), d = 2.212 Å, 40.8 deg, intensity 17.4; (0 3 3), d = 2.177 Å, 41.5 deg, intensity 21.8; (2 5 1), d = 1.715 Å, 53.4 deg, intensity 19.7; (3 3 1), d = 1.447 Å, 64.4 deg, intensity 18.3



This entry pairs a crystal structure of Er7Ir2S2 with its simulated X-ray diffraction stick pattern. Radiation: Cu Kα. Structure: a crystal structure in OQMD, relaxed with PBE.
No peak broadening, texture or thermal motion is included.

Structural model:
abc: 3.853 14.745 9.030
angles: 90.00 90.00 90.00
Space group Imm2 (No. 44)
Unique sites:
Er (0.000, 0.000, 0.000) x2
Er (0.000, 0.120, 0.411) x4
Er (0.000, 0.319, 0.625) x4
Er (0.000, 0.363, 0.251) x4
Ir (0.000, 0.239, 0.924) x4
S (0.000, 0.000, 0.658) x2
S (0.000, 0.500, 0.753) x2

Top 10 peaks for 15 to 90 degrees two-theta, sorted by position:
(0 1 3), d = 2.949 Å, 30.3 deg, intensity 17.4; (1 1 2), d = 2.874 Å, 31.1 deg, intensity 49.1; (0 5 1), d = 2.803 Å, 31.9 deg, intensity 27.9; (0 3 3), d = 2.567 Å, 35.0 deg, intensity 28.8; (1 4 1), d = 2.555 Å, 35.1 deg, intensity 100.0; (1 3 2), d = 2.517 Å, 35.7 deg, intensity 35.8; (1 0 3), d = 2.372 Å, 37.9 deg, intensity 23.1; (0 0 4), d = 2.258 Å, 39.9 deg, intensity 31.4; (0 6 2), d = 2.159 Å, 41.9 deg, intensity 22.4; (2 0 0), d = 1.926 Å, 47.2 deg, intensity 26.0